[1]
This entry pairs a crystal structure of Sr2MnAlCu2O7 with its theoretical X-ray diffraction stick pattern. Radiation: a wavelength of 1.5418 Å. Structure: a cell relaxed with PBE+U.

Atomic structure:
```
data_Sr2MnAlCu2O7
_space_group_name_H-M_alt 'P 1'
_space_group_IT_number 1
_cell_length_a 5.320
_cell_length_b 5.326
_cell_length_c 12.263
_cell_angle_alpha 77.54
_cell_angle_beta 77.50
_cell_angle_gamma 90.00
loop_
_space_group_symop_operation_xyz
'x,y,z'
loop_
_atom_site_label
_atom_site_fract_x
_atom_site_fract_y
_atom_site_fract_z
Sr1 0.000 0.000 0.000
Sr2 0.201 0.197 0.593
Sr3 0.510 0.500 0.000
Sr4 0.716 0.697 0.593
Mn1 0.166 0.635 0.797
Mn2 0.551 0.135 0.797
Al1 0.355 0.352 0.297
Al2 0.871 0.854 0.297
Cu1 0.306 0.788 0.413
Cu2 0.421 0.913 0.181
Cu3 0.799 0.289 0.413
Cu4 0.918 0.413 0.180
O1 0.019 0.515 0.955
O2 0.094 0.087 0.187
O3 0.127 0.114 0.401
O4 0.177 0.670 0.638
O5 0.198 0.997 0.797
O6 0.236 0.588 0.190
O7 0.479 0.465 0.407
O8 0.519 0.496 0.797
O9 0.541 0.013 0.955
O10 0.590 0.233 0.189
O11 0.632 0.969 0.404
O12 0.698 0.168 0.638
O13 0.738 0.731 0.191
O14 0.986 0.614 0.404
```

Principal peaks in the range 10° ≤ 2θ ≤ 90°, most intense first:
2θ (°)  Rel. int.  hkl
33.67  100  0 2 1
33.11  84  1 1 -2
28.21  54  1 1 3
48.36  44  2 -2 0
38.55  39  0 0 5
39.05  36  1 1 5
52.11  32  0 2 6
59.85  30  1 3 -1
63.49  22  2 2 7
63.82  17  3 -1 5
56.93  16  -1 3 3
80.73  15  -2 4 1

[2]
This entry pairs a crystal structure of Li2MnF5 with its theoretical X-ray diffraction stick pattern. Radiation: a wavelength of 1.5418 Å. Structure: a cell relaxed with PBE+U.

Atomic structure:
```
data_Li2MnF5
_space_group_name_H-M_alt 'C 1 2/c 1'
_space_group_IT_number 15
_cell_length_a 10.217
_cell_length_b 5.055
_cell_length_c 7.515
_cell_angle_alpha 90.00
_cell_angle_beta 112.16
_cell_angle_gamma 90.00
loop_
_space_group_symop_operation_xyz
'x,y,z'
'-x,-y,-z'
'-x,y,-z+1/2'
'x,-y,z+1/2'
'x+1/2,y+1/2,z'
'-x+1/2,-y+1/2,-z'
'-x+1/2,y+1/2,-z+1/2'
'x+1/2,-y+1/2,z+1/2'
loop_
_atom_site_label
_atom_site_fract_x
_atom_site_fract_y
_atom_site_fract_z
Li1 0.136 0.007 0.245
Mn1 0.000 0.500 0.000
F1 0.000 0.284 0.750
F2 0.086 0.190 0.455
F3 0.178 0.349 0.148
```

Principal peaks in the range 10° ≤ 2θ ≤ 90°, most intense first:
2θ (°)  Rel. int.  hkl
18.76  100  2 0 0
19.91  95  1 1 0
29.62  62  1 1 -2
25.42  52  2 0 -2
40.51  44  1 1 -3
39.77  39  3 1 1
52.24  37  4 2 -2
40.23  26  2 2 -1
52.79  24  3 1 -4
63.73  23  1 3 2
35.16  23  3 1 -2
25.60  23  0 0 2

[3]
This entry pairs a crystal structure of Li2MnF6 with its theoretical X-ray diffraction stick pattern. Radiation: a wavelength of 1.5418 Å. Structure: a cell relaxed with PBE+U.

Atomic structure:
```
data_Li2MnF6
_space_group_name_H-M_alt 'P -3 m 1'
_space_group_IT_number 164
_space_group_name_Hall '-P 3 2"'
_cell_length_a 8.6915
_cell_length_b 8.6915
_cell_length_c 4.4832
_cell_angle_alpha 90.00
_cell_angle_beta 90.00
_cell_angle_gamma 120.00
loop_
_atom_site_label
_atom_site_fract_x
_atom_site_fract_y
_atom_site_fract_z
Li1 0.0000 0.3430 0.0000
Mn1 0.0000 0.0000 0.0000
Mn2 0.3333 0.6667 0.4909
F1 0.1046 0.2092 0.2157
F2 0.1304 0.5652 0.2511
F3 0.2327 0.4653 0.7261
```

Principal peaks in the range 10° ≤ 2θ ≤ 90°, most intense first:
2θ (°)  Rel. int.  hkl
20.44  100  1 1 0
23.09  72  0 1 1
41.23  70  3 0 1
54.93  40  0 3 2
31.03  26  2 0 1
64.31  23  3 3 0
37.44  20  1 2 1
48.08  12  3 1 1
28.61  12  1 1 1
59.22  11  2 2 2
57.16  9  2 3 1
45.53  9  1 1 2

[4]
This entry pairs a crystal structure of Sr2CoO4 with its theoretical X-ray diffraction stick pattern. Radiation: a wavelength of 1.5418 Å. Structure: a cell relaxed with PBE+U.

Atomic structure:
```
data_Sr2CoO4
_space_group_name_H-M_alt 'P m m n'
_space_group_IT_number 59
_cell_length_a 3.851
_cell_length_b 12.645
_cell_length_c 3.896
_cell_angle_alpha 90.00
_cell_angle_beta 90.00
_cell_angle_gamma 90.00
loop_
_space_group_symop_operation_xyz
'x,y,z'
'-x,-y,-z'
'-x+1/2,-y+1/2,z'
'x+1/2,y+1/2,-z'
'x+1/2,-y,-z'
'-x+1/2,y,z'
'-x,y+1/2,-z'
'x,-y+1/2,z'
loop_
_atom_site_label
_atom_site_fract_x
_atom_site_fract_y
_atom_site_fract_z
Sr1 0.250 0.107 0.246
Co1 0.250 0.750 0.276
O1 0.250 0.250 0.765
O2 0.250 0.591 0.244
O3 0.250 0.750 0.744
```

Principal peaks in the range 10° ≤ 2θ ≤ 90°, most intense first:
2θ (°)  Rel. int.  hkl
32.69  100  1 0 1
31.26  70  0 3 1
31.46  69  1 3 0
43.73  34  1 4 1
46.62  28  0 0 2
47.20  28  2 0 0
57.71  25  2 3 1
57.33  25  1 3 2
68.52  23  2 0 2
54.97  23  1 6 1
42.91  23  0 6 0
84.35  15  2 6 2

[5]
This entry pairs a crystal structure of CdNiO2 with its theoretical X-ray diffraction stick pattern. Radiation: a wavelength of 1.5418 Å. Structure: a cell relaxed with PBE+U.

Atomic structure:
```
data_CdNiO2
_space_group_name_H-M_alt 'P 4/m m m'
_space_group_IT_number 123
_space_group_name_Hall '-P 4 2'
_cell_length_a 3.221
_cell_length_b 3.221
_cell_length_c 4.552
_cell_angle_alpha 90.00
_cell_angle_beta 90.00
_cell_angle_gamma 90.00
loop_
_atom_site_label
_atom_site_fract_x
_atom_site_fract_y
_atom_site_fract_z
Cd1 0.000 0.000 0.000
Ni1 0.500 0.500 0.500
O1 0.000 0.000 0.500
O2 0.500 0.500 0.000
```

Principal peaks in the range 10° ≤ 2θ ≤ 90°, most intense first:
2θ (°)  Rel. int.  hkl
39.58  100  1 1 0
34.10  97  1 0 1
57.21  62  2 0 0
68.31  39  2 1 1
71.80  20  2 0 2
19.50  11  0 0 1
27.70  9  1 0 0
85.24  9  2 2 0
44.48  5  1 1 1
49.00  4  1 0 2
61.04  3  2 0 1
78.60  2  2 1 2

[6]
This entry pairs a crystal structure of MgMn3TeO8 with its theoretical X-ray diffraction stick pattern. Radiation: a wavelength of 1.5418 Å. Structure: a cell relaxed with PBE+U.

Atomic structure:
```
data_MgMn3TeO8
_space_group_name_H-M_alt 'P -1'
_space_group_IT_number 2
_cell_length_a 5.937
_cell_length_b 6.106
_cell_length_c 6.223
_cell_angle_alpha 62.35
_cell_angle_beta 89.94
_cell_angle_gamma 60.92
loop_
_space_group_symop_operation_xyz
'x,y,z'
'-x,-y,-z'
loop_
_atom_site_label
_atom_site_fract_x
_atom_site_fract_y
_atom_site_fract_z
Mg1 0.000 0.000 0.000
Mn1 0.000 0.500 0.000
Mn2 0.500 0.000 0.000
Mn3 0.500 0.500 0.000
Te1 0.500 0.000 0.500
O1 0.249 0.502 0.212
O2 0.265 0.009 0.218
O3 0.274 0.990 0.782
O4 0.284 0.432 0.829
```

Principal peaks in the range 10° ≤ 2θ ≤ 90°, most intense first:
2θ (°)  Rel. int.  hkl
17.85  100  1 1 0
42.11  49  2 2 2
39.85  29  0 2 0
16.80  19  0 0 1
60.75  16  2 4 2
57.95  15  2 0 2
34.61  15  1 2 2
36.13  15  0 2 2
20.70  14  1 1 1
33.51  12  1 0 -2
33.99  10  0 0 2
33.32  10  1 -1 0

[7]
This entry pairs a crystal structure of ScCrO4 with its theoretical X-ray diffraction stick pattern. Radiation: a wavelength of 1.5418 Å. Structure: a cell relaxed with PBE+U.

Atomic structure:
```
data_ScCrO4
_space_group_name_H-M_alt 'I m m a'
_space_group_IT_number 74
_space_group_name_Hall '-I 2b 2'
_cell_length_a 6.769
_cell_length_b 6.971
_cell_length_c 6.143
_cell_angle_alpha 90.00
_cell_angle_beta 90.00
_cell_angle_gamma 90.00
loop_
_atom_site_label
_atom_site_fract_x
_atom_site_fract_y
_atom_site_fract_z
Sc1 0.000 0.250 0.136
Cr1 0.000 0.250 0.633
O1 0.000 0.058 0.805
O2 0.189 0.250 0.441
```

Principal peaks in the range 10° ≤ 2θ ≤ 90°, most intense first:
2θ (°)  Rel. int.  hkl
34.55  100  1 1 2
25.56  99  0 2 0
26.33  93  2 0 0
51.10  50  1 3 2
51.97  50  3 1 2
65.14  33  3 3 2
52.51  17  0 4 0
37.02  15  2 2 0
54.20  15  4 0 0
39.62  15  2 0 2
72.88  14  2 2 4
32.36  13  1 2 1

[8]
This entry pairs a crystal structure of MgMn2O4 with its theoretical X-ray diffraction stick pattern. Radiation: a wavelength of 1.5418 Å. Structure: a cell relaxed with PBE+U.

Atomic structure:
```
data_MgMn2O4
_space_group_name_H-M_alt 'P m m 2'
_space_group_IT_number 25
_cell_length_a 3.007
_cell_length_b 4.084
_cell_length_c 6.342
_cell_angle_alpha 90.00
_cell_angle_beta 90.00
_cell_angle_gamma 90.00
loop_
_space_group_symop_operation_xyz
'x,y,z'
'-x,-y,z'
'-x,y,z'
'x,-y,z'
loop_
_atom_site_label
_atom_site_fract_x
_atom_site_fract_y
_atom_site_fract_z
Mg1 0.000 0.000 0.000
Mn1 0.000 0.000 0.438
Mn2 0.500 0.500 0.722
O1 0.000 0.500 0.513
O2 0.000 0.500 0.919
O3 0.500 0.000 0.218
O4 0.500 0.000 0.721
```

Principal peaks in the range 10° ≤ 2θ ≤ 90°, most intense first:
2θ (°)  Rel. int.  hkl
41.38  100  1 0 2
25.95  78  0 1 1
13.96  77  0 0 1
62.28  49  1 2 2
44.36  45  0 2 0
57.91  30  1 1 3
32.97  26  1 0 1
35.85  22  0 1 2
79.08  20  2 2 0
37.13  20  1 1 0
61.70  14  2 0 0
58.19  11  0 0 4

[9]
This entry pairs a crystal structure of Ti2In3FeO10 with its theoretical X-ray diffraction stick pattern. Radiation: a wavelength of 1.5418 Å. Structure: a cell relaxed with PBE+U.

Atomic structure:
```
data_Ti2In3FeO10
_space_group_name_H-M_alt 'P 1 21 1'
_space_group_IT_number 4
_cell_length_a 5.975
_cell_length_b 10.226
_cell_length_c 6.506
_cell_angle_alpha 90.00
_cell_angle_beta 107.74
_cell_angle_gamma 90.00
loop_
_space_group_symop_operation_xyz
'x,y,z'
'-x,y+1/2,-z'
loop_
_atom_site_label
_atom_site_fract_x
_atom_site_fract_y
_atom_site_fract_z
Ti1 0.197 0.000 0.491
Ti2 0.244 0.346 0.500
In1 0.230 0.178 0.997
In2 0.250 0.843 0.998
In3 0.271 0.513 0.002
Fe1 0.307 0.689 0.506
O1 0.055 0.807 0.499
O2 0.112 0.010 0.171
O3 0.127 0.525 0.503
O4 0.140 0.346 0.168
O5 0.165 0.678 0.169
O6 0.330 0.011 0.828
O7 0.358 0.161 0.499
O8 0.363 0.346 0.830
O9 0.391 0.678 0.833
O10 0.444 0.886 0.502
```

Principal peaks in the range 10° ≤ 2θ ≤ 90°, most intense first:
2θ (°)  Rel. int.  hkl
31.72  100  1 3 -1
28.81  75  0 0 2
31.44  48  2 0 0
35.95  41  1 3 1
14.29  41  0 0 1
49.91  33  1 3 -3
58.58  29  2 0 -4
53.27  29  3 3 -1
38.90  26  1 3 -2
61.69  22  3 3 -3
35.75  21  2 0 -2
53.79  17  0 6 0

[10]
This entry pairs a crystal structure of Bi2Te2W3O16 with its theoretical X-ray diffraction stick pattern. Radiation: a wavelength of 1.5418 Å. Structure: a cell relaxed with PBE+U.

Atomic structure:
```
data_Bi2Te2W3O16
_space_group_name_H-M_alt 'C 1 2/c 1'
_space_group_IT_number 15
_cell_length_a 21.789
_cell_length_b 5.617
_cell_length_c 13.086
_cell_angle_alpha 90.00
_cell_angle_beta 124.17
_cell_angle_gamma 90.00
loop_
_space_group_symop_operation_xyz
'x,y,z'
'-x,-y,-z'
'-x,y,-z+1/2'
'x,-y,z+1/2'
'x+1/2,y+1/2,z'
'-x+1/2,-y+1/2,-z'
'-x+1/2,y+1/2,-z+1/2'
'x+1/2,-y+1/2,z+1/2'
loop_
_atom_site_label
_atom_site_fract_x
_atom_site_fract_y
_atom_site_fract_z
Bi1 0.223 0.168 0.343
Te1 0.096 0.305 0.656
W1 0.000 0.371 0.250
W2 0.126 0.136 0.962
O1 0.042 0.347 0.876
O2 0.048 0.152 0.376
O3 0.086 0.414 0.240
O4 0.121 0.112 0.795
O5 0.126 0.057 0.100
O6 0.194 0.372 0.030
O7 0.194 0.398 0.722
O8 0.197 0.114 0.492
```

Principal peaks in the range 10° ≤ 2θ ≤ 90°, most intense first:
2θ (°)  Rel. int.  hkl
26.50  100  5 1 -1
27.37  95  1 1 -3
33.04  54  2 2 -1
29.51  52  6 0 -4
25.25  52  1 1 2
21.66  30  3 1 0
48.20  29  6 2 1
32.20  26  4 0 2
53.43  22  0 2 5
26.01  17  3 1 1
52.91  17  1 3 2
38.59  17  4 2 -3